ErCoH: calculated XRD peak list (Cu Kα), based on a crystal structure in Alexandria, relaxed with GGA-PBE.

Structure:
```
data_ErCoH
_symmetry_space_group_name_H-M 'F d d d'
_symmetry_Int_Tables_number 70
_cell_length_a 3.0082
_cell_length_b 13.0030
_cell_length_c 16.1212
_cell_angle_alpha 90.00
_cell_angle_beta 90.00
_cell_angle_gamma 90.00
loop_
_symmetry_equiv_pos_as_xyz
'x,y,z'
'-x,-y,-z'
'-x+1/4,-y+1/4,z'
'x+1/4,y+1/4,-z'
'x,-y+1/4,-z+1/4'
'-x,y+1/4,z+1/4'
'-x+1/4,y,-z+1/4'
'x+1/4,-y,z+1/4'
'x,y+1/2,z+1/2'
'-x,-y+1/2,-z+1/2'
'-x+1/4,-y+3/4,z+1/2'
'x+1/4,y+3/4,-z+1/2'
'x,-y+3/4,-z+3/4'
'-x,y+3/4,z+3/4'
'-x+1/4,y+1/2,-z+3/4'
'x+1/4,-y+1/2,z+3/4'
'x+1/2,y,z+1/2'
'-x+1/2,-y,-z+1/2'
'-x+3/4,-y+1/4,z+1/2'
'x+3/4,y+1/4,-z+1/2'
'x+1/2,-y+1/4,-z+3/4'
'-x+1/2,y+1/4,z+3/4'
'-x+3/4,y,-z+3/4'
'x+3/4,-y,z+3/4'
'x+1/2,y+1/2,z'
'-x+1/2,-y+1/2,-z'
'-x+3/4,-y+3/4,z'
'x+3/4,y+3/4,-z'
'x+1/2,-y+3/4,-z+1/4'
'-x+1/2,y+3/4,z+1/4'
'-x+3/4,y+1/2,-z+1/4'
'x+3/4,-y+1/2,z+1/4'
loop_
_atom_site_label
_atom_site_type_symbol
_atom_site_fract_x
_atom_site_fract_y
_atom_site_fract_z
_atom_site_occupancy
Er1 Er 0.1250 0.1250 0.0202 1
Co1 Co 0.1250 0.2931 0.1250 1
H1 H 0.1250 0.0291 0.6250 1
```

Largest 6 diffraction maxima, in order of rising 2θ, 10° ≤ 2θ ≤ 90°:
- (0 4 0), 27.4°, rel. 48
- (1 1 1), 31.0°, rel. 100
- (0 4 4), 35.5°, rel. 83
- (0 2 6), 36.2°, rel. 55
- (1 3 5), 46.3°, rel. 65
- (1 5 1), 46.5°, rel. 35

ErScCo2H6: calculated XRD peak list (Cu Kα), based on a crystal structure in Alexandria, relaxed with GGA-PBE.

Structure:
```
data_ErScCo2H6
_symmetry_space_group_name_H-M 'R -3 m'
_symmetry_Int_Tables_number 166
_symmetry_space_group_name_Hall '-R 3 2"'
_cell_length_a 4.3332
_cell_length_b 4.3332
_cell_length_c 15.7046
_cell_angle_alpha 90.00
_cell_angle_beta 90.00
_cell_angle_gamma 120.00
loop_
_atom_site_label
_atom_site_type_symbol
_atom_site_fract_x
_atom_site_fract_y
_atom_site_fract_z
_atom_site_occupancy
Er1 Er 0.0000 0.0000 0.0000 1
Sc1 Sc 0.0000 0.0000 0.5000 1
Co1 Co 0.0000 0.0000 0.2128 1
H1 H 0.0011 0.5005 0.9384 1
```

Largest 6 diffraction maxima, in order of rising 2θ, 10° ≤ 2θ ≤ 90°:
- (1 0 1), 24.4°, rel. 56
- (1 0 4), 33.0°, rel. 100
- (0 1 5), 37.3°, rel. 49
- (1 1 0), 41.7°, rel. 71
- (0 2 4), 54.2°, rel. 24
- (2 1 4), 70.6°, rel. 21

ErZnCo2H8: calculated XRD peak list (Cu Kα), based on a crystal structure in Alexandria, relaxed with GGA-PBE.

Structure:
```
data_ErZnCo2H8
_symmetry_space_group_name_H-M 'P -3 m 1'
_symmetry_Int_Tables_number 164
_symmetry_space_group_name_Hall '-P 3 2"'
_cell_length_a 4.5681
_cell_length_b 4.5681
_cell_length_c 6.0555
_cell_angle_alpha 90.00
_cell_angle_beta 90.00
_cell_angle_gamma 120.00
loop_
_atom_site_label
_atom_site_type_symbol
_atom_site_fract_x
_atom_site_fract_y
_atom_site_fract_z
_atom_site_occupancy
Er1 Er 0.0000 0.0000 0.0000 1
Zn1 Zn 0.0000 0.0000 0.5000 1
Co1 Co 0.3333 0.6667 0.3337 1
H1 H 0.1481 0.2963 0.2865 1
H2 H 0.3333 0.6667 0.0793 1
```

Largest 6 diffraction maxima, in order of rising 2θ, 10° ≤ 2θ ≤ 90°:
- (1 0 0), 22.5°, rel. 72
- (0 1 1), 26.9°, rel. 74
- (1 0 2), 37.4°, rel. 100
- (1 1 0), 39.5°, rel. 71
- (0 2 2), 55.5°, rel. 32
- (2 1 2), 70.2°, rel. 31

ErHfCo: calculated XRD peak list (Cu Kα), based on a crystal structure in Alexandria, relaxed with GGA-PBE.

Structure:
```
data_ErHfCo
_symmetry_space_group_name_H-M 'C 1 2/m 1'
_symmetry_Int_Tables_number 12
_symmetry_space_group_name_Hall '-C 2y'
_cell_length_a 13.1443
_cell_length_b 3.4205
_cell_length_c 6.2427
_cell_angle_alpha 90.00
_cell_angle_beta 118.18
_cell_angle_gamma 90.00
loop_
_atom_site_label
_atom_site_type_symbol
_atom_site_fract_x
_atom_site_fract_y
_atom_site_fract_z
_atom_site_occupancy
Er1 Er 0.2134 0.0000 0.2131 1
Hf1 Hf 0.0005 0.5000 0.7449 1
Co1 Co 0.1102 0.0000 0.6094 1
```

Largest 6 diffraction maxima, in order of rising 2θ, 10° ≤ 2θ ≤ 90°:
- (4 0 0), 30.9°, rel. 28
- (4 0 -2), 32.6°, rel. 100
- (1 1 1), 33.6°, rel. 45
- (3 1 0), 35.0°, rel. 82
- (1 1 -2), 39.9°, rel. 81
- (4 2 -2), 64.1°, rel. 29

Er4CoHg2: calculated XRD peak list (Cu Kα), based on a crystal structure in Alexandria, relaxed with GGA-PBE.

Structure:
```
data_Er4CoHg2
_symmetry_space_group_name_H-M 'P b a m'
_symmetry_Int_Tables_number 55
_symmetry_space_group_name_Hall '-P 2 2ab'
_cell_length_a 8.0426
_cell_length_b 12.1941
_cell_length_c 3.8474
_cell_angle_alpha 90.00
_cell_angle_beta 90.00
_cell_angle_gamma 90.00
loop_
_atom_site_label
_atom_site_type_symbol
_atom_site_fract_x
_atom_site_fract_y
_atom_site_fract_z
_atom_site_occupancy
Er1 Er 0.1317 0.1922 0.0000 1
Er2 Er 0.2078 0.9433 0.5000 1
Co1 Co 0.0000 0.0000 0.0000 1
Hg1 Hg 0.0705 0.6589 0.5000 1
```

Largest 6 diffraction maxima, in order of rising 2θ, 10° ≤ 2θ ≤ 90°:
- (1 4 0), 31.4°, rel. 86
- (2 1 1), 33.0°, rel. 100
- (1 3 1), 34.0°, rel. 68
- (2 2 1), 35.5°, rel. 34
- (3 2 0), 36.6°, rel. 40
- (0 0 2), 47.3°, rel. 30

Er12Co6Hg: calculated XRD peak list (Cu Kα), based on a crystal structure in Alexandria, relaxed with GGA-PBE.

Structure:
```
data_Er12Co6Hg
_symmetry_space_group_name_H-M 'I m -3'
_symmetry_Int_Tables_number 204
_symmetry_space_group_name_Hall '-I 2 2 3'
_cell_length_a 9.5336
_cell_length_b 9.5336
_cell_length_c 9.5336
_cell_angle_alpha 90.00
_cell_angle_beta 90.00
_cell_angle_gamma 90.00
loop_
_atom_site_label
_atom_site_type_symbol
_atom_site_fract_x
_atom_site_fract_y
_atom_site_fract_z
_atom_site_occupancy
Er1 Er 0.0000 0.1938 0.3015 1
Co1 Co 0.0000 0.3859 0.5000 1
Hg1 Hg 0.0000 0.0000 0.0000 1
```

Largest 6 diffraction maxima, in order of rising 2θ, 10° ≤ 2θ ≤ 90°:
- (3 1 0), 29.6°, rel. 47
- (2 2 2), 32.5°, rel. 59
- (3 2 1), 35.2°, rel. 100
- (5 1 0), 48.7°, rel. 24
- (5 0 3), 56.3°, rel. 37
- (5 3 2), 59.8°, rel. 40

Er6CoHg2: calculated XRD peak list (Cu Kα), based on a crystal structure in Alexandria, relaxed with GGA-PBE.

Structure:
```
data_Er6CoHg2
_symmetry_space_group_name_H-M 'P 1 21/c 1'
_symmetry_Int_Tables_number 14
_symmetry_space_group_name_Hall '-P 2ybc'
_cell_length_a 6.8385
_cell_length_b 7.1437
_cell_length_c 12.1062
_cell_angle_alpha 90.00
_cell_angle_beta 124.36
_cell_angle_gamma 90.00
loop_
_atom_site_label
_atom_site_type_symbol
_atom_site_fract_x
_atom_site_fract_y
_atom_site_fract_z
_atom_site_occupancy
Er1 Er 0.1482 0.1998 0.4518 1
Er2 Er 0.2635 0.6980 0.4554 1
Er3 Er 0.3508 0.0077 0.2500 1
Co1 Co 0.0000 0.0000 0.0000 1
Hg1 Hg 0.2182 0.0794 0.7505 1
```

Largest 6 diffraction maxima, in order of rising 2θ, 10° ≤ 2θ ≤ 90°:
- (1 0 2), 29.8°, rel. 45
- (2 1 -3), 30.3°, rel. 60
- (0 2 2), 30.8°, rel. 100
- (2 0 0), 31.7°, rel. 74
- (0 0 4), 35.9°, rel. 43
- (2 2 -2), 36.4°, rel. 44

Ho5Er3Co2: calculated XRD peak list (Cu Kα), based on a crystal structure in Alexandria, relaxed with GGA-PBE.

Structure:
```
data_Ho5Er3Co2
_symmetry_space_group_name_H-M 'I b a m'
_symmetry_Int_Tables_number 72
_symmetry_space_group_name_Hall '-I 2 2c'
_cell_length_a 10.0770
_cell_length_b 14.6023
_cell_length_c 7.5961
_cell_angle_alpha 90.00
_cell_angle_beta 90.00
_cell_angle_gamma 90.00
loop_
_atom_site_label
_atom_site_type_symbol
_atom_site_fract_x
_atom_site_fract_y
_atom_site_fract_z
_atom_site_occupancy
Ho1 Ho 0.0000 0.0000 0.2500 1
Ho2 Ho 0.0000 0.2465 0.2500 1
Ho3 Ho 0.2433 0.1230 0.0000 1
Er1 Er 0.0000 0.5000 0.2500 1
Er2 Er 0.2434 0.1242 0.5000 1
Co1 Co 0.0001 0.3703 0.0000 1
```

Largest 6 diffraction maxima, in order of rising 2θ, 10° ≤ 2θ ≤ 90°:
- (2 0 2), 29.5°, rel. 100
- (2 4 0), 30.2°, rel. 93
- (0 4 2), 34.1°, rel. 100
- (4 0 0), 35.6°, rel. 44
- (4 4 2), 50.1°, rel. 66
- (2 4 4), 57.7°, rel. 31

Ho3ErCo2: calculated XRD peak list (Cu Kα), based on a crystal structure in Alexandria, relaxed with GGA-PBE.

Structure:
```
data_Ho3ErCo2
_symmetry_space_group_name_H-M 'C 1 2/m 1'
_symmetry_Int_Tables_number 12
_symmetry_space_group_name_Hall '-C 2y'
_cell_length_a 16.2666
_cell_length_b 3.7330
_cell_length_c 11.4326
_cell_angle_alpha 90.00
_cell_angle_beta 123.74
_cell_angle_gamma 90.00
loop_
_atom_site_label
_atom_site_type_symbol
_atom_site_fract_x
_atom_site_fract_y
_atom_site_fract_z
_atom_site_occupancy
Ho1 Ho 0.0839 0.0000 0.4393 1
Ho2 Ho 0.0837 0.0000 0.9408 1
Ho3 Ho 0.1596 0.5000 0.7462 1
Er1 Er 0.1598 0.5000 0.2467 1
Co1 Co 0.2325 0.5000 0.5479 1
Co2 Co 0.2328 0.5000 0.0482 1
```

Largest 6 diffraction maxima, in order of rising 2θ, 10° ≤ 2θ ≤ 90°:
- (3 1 -2), 30.1°, rel. 83
- (3 1 0), 31.1°, rel. 50
- (4 0 -4), 31.8°, rel. 42
- (6 0 -2), 33.2°, rel. 56
- (1 1 2), 33.4°, rel. 100
- (6 0 -4), 36.7°, rel. 39

HoEr4Co4: calculated XRD peak list (Cu Kα), based on a crystal structure in Alexandria, relaxed with GGA-PBE.

Structure:
```
data_HoEr4Co4
_symmetry_space_group_name_H-M 'P 42/n'
_symmetry_Int_Tables_number 86
_cell_length_a 8.3382
_cell_length_b 8.3382
_cell_length_c 5.5164
_cell_angle_alpha 90.00
_cell_angle_beta 90.00
_cell_angle_gamma 90.00
loop_
_symmetry_equiv_pos_as_xyz
'x,y,z'
'-x,-y,-z'
'-y,x+1/2,z+1/2'
'y,-x+1/2,-z+1/2'
'-x+1/2,-y+1/2,z'
'x+1/2,y+1/2,-z'
'y+1/2,-x,z+1/2'
'-y+1/2,x,-z+1/2'
loop_
_atom_site_label
_atom_site_type_symbol
_atom_site_fract_x
_atom_site_fract_y
_atom_site_fract_z
_atom_site_occupancy
Ho1 Ho 0.2500 0.2500 0.2500 1
Er1 Er 0.0624 0.6735 0.1315 1
Co1 Co 0.0127 0.6122 0.6158 1
```

Largest 6 diffraction maxima, in order of rising 2θ, 10° ≤ 2θ ≤ 90°:
- (2 1 1), 28.9°, rel. 84
- (1 3 0), 34.0°, rel. 100
- (1 0 2), 34.2°, rel. 54
- (1 2 2), 40.7°, rel. 28
- (4 2 0), 48.8°, rel. 30
- (2 3 2), 51.6°, rel. 29

HoErCo: calculated XRD peak list (Cu Kα), based on a crystal structure in Alexandria, relaxed with GGA-PBE.

Structure:
```
data_HoErCo
_symmetry_space_group_name_H-M 'C 1 2/m 1'
_symmetry_Int_Tables_number 12
_symmetry_space_group_name_Hall '-C 2y'
_cell_length_a 12.9504
_cell_length_b 3.3395
_cell_length_c 6.6790
_cell_angle_alpha 90.00
_cell_angle_beta 104.94
_cell_angle_gamma 90.00
loop_
_atom_site_label
_atom_site_type_symbol
_atom_site_fract_x
_atom_site_fract_y
_atom_site_fract_z
_atom_site_occupancy
Ho1 Ho 0.1286 0.0000 0.0644 1
Er1 Er 0.1282 0.0000 0.5640 1
Co1 Co 0.9999 0.5000 0.2513 1
```

Largest 6 diffraction maxima, in order of rising 2θ, 10° ≤ 2θ ≤ 90°:
- (1 1 0), 27.6°, rel. 50
- (4 0 0), 28.5°, rel. 30
- (3 1 0), 34.4°, rel. 100
- (1 1 -2), 38.1°, rel. 60
- (5 1 0), 45.3°, rel. 35
- (2 2 2), 66.5°, rel. 29

HoEr3Co8: calculated XRD peak list (Cu Kα), based on a crystal structure in Alexandria, relaxed with GGA-PBE.

Structure:
```
data_HoEr3Co8
_symmetry_space_group_name_H-M 'R 3 m'
_symmetry_Int_Tables_number 160
_symmetry_space_group_name_Hall 'R 3 -2"'
_cell_length_a 5.0393
_cell_length_b 5.0393
_cell_length_c 24.7084
_cell_angle_alpha 90.00
_cell_angle_beta 90.00
_cell_angle_gamma 120.00
loop_
_atom_site_label
_atom_site_type_symbol
_atom_site_fract_x
_atom_site_fract_y
_atom_site_fract_z
_atom_site_occupancy
Ho1 Ho 0.0000 0.0000 0.0000 1
Er1 Er 0.0000 0.0000 0.1250 1
Er2 Er 0.0000 0.0000 0.5000 1
Er3 Er 0.0000 0.0000 0.6249 1
Co1 Co 0.0000 0.0000 0.3125 1
Co2 Co 0.0000 0.0000 0.8125 1
Co3 Co 0.0002 0.5001 0.0627 1
Co4 Co 0.9996 0.4998 0.5623 1
```

Largest 6 diffraction maxima, in order of rising 2θ, 10° ≤ 2θ ≤ 90°:
- (0 1 2), 21.6°, rel. 16
- (1 1 0), 35.6°, rel. 68
- (2 0 2), 42.0°, rel. 100
- (3 0 0), 64.0°, rel. 25
- (3 0 6), 68.4°, rel. 30
- (2 2 0), 75.4°, rel. 22